Entry 1:
This entry pairs a crystal structure of NaScN2F6 with its computed powder XRD pattern. Radiation: Cu Kα (weighted mean of Kα1 and Kα2). Structure: a DFT-relaxed cell (PBE, the Materials Project).
Kinematic intensities with the Lorentz-polarization factor, no thermal factor.

The 10 most intense peaks (5° ≤ 2θ ≤ 70°), low angle first:
2theta  I (rel.)
17.87  301
20.66  1000
29.38  422
36.19  252
42.03  943
47.27  390
52.11  132
60.95  477
65.09  165
69.09  65

Crystal structure
```
NaScN2F6
1.0
0.000 4.299 4.299
4.299 0.000 4.299
4.299 4.299 0.000
Na Sc N F
1 1 2 6
Direct
0.000 0.000 0.000
0.500 0.500 0.500
0.250 0.250 0.250
0.750 0.750 0.750
0.264 0.264 0.736
0.264 0.736 0.264
0.264 0.736 0.736
0.736 0.264 0.264
0.736 0.264 0.736
0.736 0.736 0.264
```

Entry 2:
This entry pairs a crystal structure of BRh2 with its computed powder XRD pattern. Radiation: Cu Kα (weighted mean of Kα1 and Kα2). Structure: a DFT-relaxed cell (PBE, the Materials Project).
Kinematic intensities with the Lorentz-polarization factor, no thermal factor.

The 10 most intense peaks (5° ≤ 2θ ≤ 70°), low angle first:
2theta  I (rel.)
31.12  143
31.45  171
33.18  130
39.13  1000
40.84  208
43.05  209
43.36  86
47.27  238
52.60  107
54.03  98

Crystal structure
```
BRh2
1.0
5.400 0.000 0.000
0.000 3.846 0.000
0.000 0.000 6.788
B Rh
4 8
Direct
0.233 0.250 0.101
0.267 0.750 0.601
0.733 0.250 0.399
0.767 0.750 0.899
0.007 0.250 0.851
0.125 0.250 0.403
0.375 0.750 0.903
0.493 0.750 0.351
0.507 0.250 0.649
0.625 0.250 0.097
0.875 0.750 0.597
0.993 0.750 0.149
```

Entry 3:
This entry pairs a crystal structure of Nb5Ga3 with its computed powder XRD pattern. Radiation: Cu Kα (weighted mean of Kα1 and Kα2). Structure: a DFT-relaxed cell (PBE, the Materials Project).
Kinematic intensities with the Lorentz-polarization factor, no thermal factor.

The 10 most intense peaks (5° ≤ 2θ ≤ 70°), low angle first:
2theta  I (rel.)
33.82  148
35.17  347
36.42  174
39.19  1000
40.07  438
41.19  729
58.82  172
62.48  104
64.11  225
65.58  132

Crystal structure
```
Nb5Ga3
1.0
7.795 0.000 0.000
-3.897 6.750 0.000
0.000 0.000 5.300
Nb Ga
10 6
Direct
0.000 0.244 0.250
0.000 0.756 0.750
0.244 0.000 0.250
0.244 0.244 0.750
0.333 0.667 0.000
0.333 0.667 0.500
0.667 0.333 0.000
0.667 0.333 0.500
0.756 0.000 0.750
0.756 0.756 0.250
0.000 0.395 0.750
0.000 0.605 0.250
0.395 0.000 0.750
0.395 0.395 0.250
0.605 0.000 0.250
0.605 0.605 0.750
```

Entry 4:
This entry pairs a crystal structure of K2CaNd4Nb2O12 with its computed powder XRD pattern. Radiation: Cu Kα (weighted mean of Kα1 and Kα2). Structure: a DFT-relaxed cell (PBE, the Materials Project).
Kinematic intensities with the Lorentz-polarization factor, no thermal factor.

The 10 most intense peaks (5° ≤ 2θ ≤ 70°), low angle first:
2theta  I (rel.)
9.61  781
26.46  757
26.86  1000
29.91  970
30.66  485
32.41  217
35.17  323
42.56  218
45.23  376
54.03  219

Crystal structure
```
K2CaNd4Nb2O12
1.0
6.357 -2.916 0.000
6.357 2.916 0.000
-2.068 0.000 9.206
K Ca Nd Nb O
2 1 4 2 12
Direct
0.129 0.129 0.495
0.871 0.871 0.505
0.500 0.500 0.500
0.122 0.122 0.909
0.422 0.422 0.823
0.578 0.578 0.177
0.878 0.878 0.091
0.316 0.316 0.257
0.684 0.684 0.743
0.016 0.525 0.846
0.220 0.683 0.288
0.246 0.754 0.000
0.317 0.780 0.712
0.320 0.320 0.465
0.475 0.984 0.154
0.525 0.016 0.846
0.680 0.680 0.535
0.683 0.220 0.288
0.754 0.246 0.000
0.780 0.317 0.712
0.984 0.475 0.154
```

Entry 5:
This entry pairs a crystal structure of CaAg4Ru4O12 with its computed powder XRD pattern. Radiation: Cu Kα (weighted mean of Kα1 and Kα2). Structure: a DFT-relaxed cell (PBE, the Materials Project).
Kinematic intensities with the Lorentz-polarization factor, no thermal factor.

The 10 most intense peaks (5° ≤ 2θ ≤ 70°), low angle first:
2theta  I (rel.)
17.12  157
29.79  1000
30.13  399
34.63  500
42.69  132
45.36  119
49.56  247
50.00  262
59.10  160
59.49  110

Crystal structure
```
CaAg4Ru4O12
1.0
6.301 -3.680 0.000
6.301 3.680 0.000
-4.156 0.000 5.997
Ca Ag Ru O
1 4 4 12
Direct
0.000 0.000 0.000
0.374 0.743 0.257
0.743 0.374 0.257
0.743 0.743 0.627
0.757 0.757 0.243
0.281 0.281 0.720
0.287 0.287 0.225
0.287 0.776 0.714
0.776 0.287 0.714
0.203 0.203 0.388
0.203 0.612 0.798
0.216 0.595 0.405
0.349 0.961 0.040
0.350 0.350 0.036
0.350 0.966 0.651
0.595 0.216 0.405
0.597 0.597 0.787
0.612 0.203 0.798
0.961 0.349 0.040
0.961 0.961 0.651
0.966 0.350 0.651
```

Entry 6:
This entry pairs a crystal structure of Zr4FeSe8 with its computed powder XRD pattern. Radiation: Cu Kα (weighted mean of Kα1 and Kα2). Structure: a DFT-relaxed cell (PBE, the Materials Project).
Kinematic intensities with the Lorentz-polarization factor, no thermal factor.

The 10 most intense peaks (5° ≤ 2θ ≤ 70°), low angle first:
2theta  I (rel.)
14.12  195
30.93  1000
39.90  667
48.38  382
50.66  42
51.97  193
58.53  156
58.91  67
64.44  124
66.91  50

Crystal structure
```
Zr4FeSe8
1.0
6.271 -3.763 0.000
6.271 3.763 0.000
-6.264 0.000 6.517
Zr Fe Se
4 1 8
Direct
0.243 0.757 0.000
0.246 0.246 0.495
0.754 0.754 0.505
0.757 0.243 0.000
0.000 0.000 0.500
0.213 0.213 0.167
0.214 0.716 0.666
0.284 0.786 0.334
0.287 0.287 0.833
0.713 0.713 0.167
0.716 0.214 0.666
0.786 0.284 0.334
0.787 0.787 0.833
```

Entry 7:
This entry pairs a crystal structure of Nd3Sn7 with its computed powder XRD pattern. Radiation: Cu Kα (weighted mean of Kα1 and Kα2). Structure: a DFT-relaxed cell (PBE, the Materials Project).
Kinematic intensities with the Lorentz-polarization factor, no thermal factor.

The 10 most intense peaks (5° ≤ 2θ ≤ 70°), low angle first:
2theta  I (rel.)
32.47  1000
33.53  176
39.28  164
39.91  157
52.58  100
53.09  97
57.24  111
66.93  129
67.80  125
67.99  95

Crystal structure
```
Nd3Sn7
1.0
2.259 -13.363 0.000
2.259 13.363 0.000
0.000 0.000 4.588
Nd Sn
3 7
Direct
0.000 0.000 0.000
0.185 0.815 0.000
0.815 0.185 0.000
0.096 0.904 0.500
0.288 0.712 0.500
0.405 0.595 0.000
0.500 0.500 0.500
0.595 0.405 0.000
0.712 0.288 0.500
0.904 0.096 0.500
```

Entry 8:
This entry pairs a crystal structure of Na2Cu3O4 with its computed powder XRD pattern. Radiation: Cu Kα (weighted mean of Kα1 and Kα2). Structure: a DFT-relaxed cell (PBE, the Materials Project).
Kinematic intensities with the Lorentz-polarization factor, no thermal factor.

The 10 most intense peaks (5° ≤ 2θ ≤ 70°), low angle first:
2theta  I (rel.)
13.76  562
26.58  292
33.34  409
34.58  486
36.88  265
37.38  703
38.78  1000
50.56  468
58.64  360
63.24  189

Crystal structure
```
Na2Cu3O4
1.0
-1.481 2.687 6.436
1.481 -2.687 6.436
1.481 2.687 -6.436
Na Cu O
2 3 4
Direct
0.203 0.203 0.000
0.797 0.797 0.000
0.000 0.500 0.500
0.397 0.897 0.500
0.603 0.103 0.500
0.149 0.388 0.761
0.373 0.612 0.761
0.627 0.388 0.239
0.851 0.612 0.239
```

Entry 9:
This entry pairs a crystal structure of TbGaAu with its computed powder XRD pattern. Radiation: Cu Kα (weighted mean of Kα1 and Kα2). Structure: a DFT-relaxed cell (PBE, the Materials Project).
Kinematic intensities with the Lorentz-polarization factor, no thermal factor.

The 10 most intense peaks (5° ≤ 2θ ≤ 70°), low angle first:
2theta  I (rel.)
16.94  114
23.21  200
32.48  373
33.47  289
33.65  279
34.06  619
34.27  186
36.88  121
39.80  1000
52.93  160

Crystal structure
```
TbGaAu
1.0
5.253 -2.266 0.000
5.253 2.266 0.000
-4.779 0.000 5.355
Tb Ga Au
2 2 2
Direct
0.037 0.037 0.297
0.963 0.963 0.703
0.342 0.342 0.893
0.658 0.658 0.107
0.322 0.322 0.282
0.678 0.678 0.718
```

Entry 10:
This entry pairs a crystal structure of Cs2Se with its computed powder XRD pattern. Radiation: Cu Kα (weighted mean of Kα1 and Kα2). Structure: a DFT-relaxed cell (PBE, the Materials Project).
Kinematic intensities with the Lorentz-polarization factor, no thermal factor.

The 10 most intense peaks (5° ≤ 2θ ≤ 70°), low angle first:
2theta  I (rel.)
20.25  826
27.49  536
29.76  1000
32.21  604
34.39  429
36.04  259
45.92  258
49.10  362
50.04  230
60.94  208

Crystal structure
```
Cs2Se
1.0
6.488 0.000 0.000
0.000 4.984 0.000
0.000 0.000 9.228
Cs Se
4 2
Direct
0.250 0.000 0.072
0.250 0.500 0.397
0.750 0.000 0.928
0.750 0.500 0.603
0.250 0.500 0.781
0.750 0.500 0.219
```

Entry 11:
This entry pairs a crystal structure of Zr2H3Pd with its computed powder XRD pattern. Radiation: Cu Kα (weighted mean of Kα1 and Kα2). Structure: a DFT-relaxed cell (PBE, the Materials Project).
Kinematic intensities with the Lorentz-polarization factor, no thermal factor.

The 10 most intense peaks (5° ≤ 2θ ≤ 70°), low angle first:
2theta  I (rel.)
13.21  98
34.43  1000
39.75  365
40.39  121
44.03  98
57.48  124
57.96  169
68.75  255
69.62  57
69.81  56

Crystal structure
```
Zr2H3Pd
1.0
-1.603 1.603 6.700
1.603 -1.603 6.700
1.603 1.603 -6.700
Zr H Pd
2 3 1
Direct
0.147 0.147 0.000
0.853 0.853 0.000
0.000 0.000 0.000
0.250 0.750 0.500
0.750 0.250 0.500
0.500 0.500 0.000
```